1.
Diffraction record for Li5V4O12F. The powder XRD pattern is computed, not measured: it uses a crystal structure in Alexandria, relaxed with GGA+U and CuKα.
Intensities are scaled so that the largest is 100.

Top 6 peaks for 2θ from 10° to 90°, low angle first:
(0 1 1), 12.38°, rel. 100.0
(1 2 0), 27.03°, rel. 16.1
(1 1 -3), 27.73°, rel. 25.7
(1 3 -1), 32.19°, rel. 21.8
(1 0 2), 32.84°, rel. 17.1
(1 1 3), 41.82°, rel. 15.5

Cell and atoms:
```
data_Li5V4O12F
_symmetry_space_group_name_H-M 'P 1'
_symmetry_Int_Tables_number 1
_symmetry_space_group_name_Hall 'P 1'
_cell_length_a 4.714
_cell_length_b 10.334
_cell_length_c 10.897
_cell_angle_alpha 90.00
_cell_angle_beta 114.61
_cell_angle_gamma 90.00
loop_
_atom_site_label
_atom_site_fract_x
_atom_site_fract_y
_atom_site_fract_z
Li1 0.000 0.000 0.000
Li2 0.000 0.500 0.500
Li3 0.260 0.132 0.863
Li4 0.260 0.368 0.363
Li5 0.319 0.634 0.333
Li6 0.319 0.866 0.833
Li7 0.681 0.134 0.167
Li8 0.681 0.366 0.667
Li9 0.740 0.632 0.637
Li10 0.740 0.868 0.137
V1 0.042 0.657 0.988
V2 0.042 0.843 0.488
V3 0.401 0.525 0.839
V4 0.401 0.975 0.339
V5 0.599 0.025 0.661
V6 0.599 0.475 0.161
V7 0.958 0.157 0.512
V8 0.958 0.343 0.012
O1 0.087 0.198 0.989
O2 0.087 0.302 0.489
O3 0.088 0.014 0.195
O4 0.088 0.486 0.695
O5 0.221 0.041 0.465
O6 0.221 0.459 0.965
O7 0.244 0.689 0.882
O8 0.244 0.811 0.382
O9 0.334 0.115 0.701
O10 0.334 0.385 0.201
O11 0.377 0.636 0.150
O12 0.377 0.864 0.650
O13 0.623 0.136 0.350
O14 0.623 0.364 0.850
O15 0.666 0.615 0.799
O16 0.666 0.885 0.299
O17 0.756 0.189 0.618
O18 0.756 0.311 0.118
O19 0.779 0.541 0.035
O20 0.779 0.959 0.535
O21 0.912 0.514 0.305
O22 0.912 0.986 0.805
O23 0.913 0.698 0.511
O24 0.913 0.802 0.011
F1 0.500 0.000 0.000
F2 0.500 0.500 0.500
```

***

2.
Diffraction record for Li3V2O4F2. The powder XRD pattern is computed, not measured: it uses a crystal structure in Alexandria, relaxed with GGA+U and CuKα.
Intensities are scaled so that the largest is 100.

Top 6 peaks for 2θ from 10° to 90°, low angle first:
(0 0 2), 11.71°, rel. 23.9
(0 0 3), 17.61°, rel. 100.0
(1 -1 1), 35.16°, rel. 17.6
(1 2 4), 39.70°, rel. 41.3
(1 2 5), 43.13°, rel. 13.9
(3 3 1), 62.75°, rel. 13.7

Cell and atoms:
```
data_Li3V2O4F2
_symmetry_space_group_name_H-M 'P 1'
_symmetry_Int_Tables_number 1
_symmetry_space_group_name_Hall 'P 1'
_cell_length_a 5.079
_cell_length_b 5.236
_cell_length_c 15.217
_cell_angle_alpha 83.18
_cell_angle_beta 86.36
_cell_angle_gamma 61.03
loop_
_atom_site_label
_atom_site_fract_x
_atom_site_fract_y
_atom_site_fract_z
Li1 0.000 0.000 0.000
Li2 0.313 0.346 0.002
Li3 0.336 0.950 0.136
Li4 0.339 0.705 0.863
Li5 0.339 0.823 0.500
Li6 0.661 0.177 0.500
Li7 0.661 0.295 0.137
Li8 0.664 0.050 0.864
Li9 0.687 0.654 0.998
V1 0.015 0.111 0.664
V2 0.320 0.219 0.336
V3 0.350 0.443 0.666
V4 0.650 0.557 0.334
V5 0.680 0.781 0.664
V6 0.985 0.889 0.336
O1 0.014 0.813 0.593
O2 0.025 0.428 0.725
O3 0.327 0.904 0.268
O4 0.346 0.527 0.408
O5 0.355 0.746 0.732
O6 0.364 0.125 0.593
O7 0.636 0.875 0.407
O8 0.645 0.254 0.268
O9 0.654 0.473 0.592
O10 0.673 0.096 0.732
O11 0.975 0.572 0.275
O12 0.986 0.187 0.407
F1 0.004 0.282 0.074
F2 0.359 0.992 0.922
F3 0.361 0.642 0.078
F4 0.639 0.358 0.922
F5 0.641 0.008 0.078
F6 0.996 0.718 0.926
```

***

3.
Diffraction record for LiV2OF7. The powder XRD pattern is computed, not measured: it uses a crystal structure in Alexandria, relaxed with GGA+U and CuKα.
Intensities are scaled so that the largest is 100.

Top 6 peaks for 2θ from 10° to 90°, low angle first:
(0 0 2), 16.34°, rel. 100.0
(0 1 2), 22.48°, rel. 36.7
(1 -1 0), 23.20°, rel. 89.5
(1 0 -2), 25.60°, rel. 24.0
(1 -1 2), 26.98°, rel. 76.6
(1 0 -4), 39.81°, rel. 23.1

Cell and atoms:
```
data_LiV2OF7
_symmetry_space_group_name_H-M 'P 1'
_symmetry_Int_Tables_number 1
_symmetry_space_group_name_Hall 'P 1'
_cell_length_a 5.177
_cell_length_b 5.783
_cell_length_c 10.963
_cell_angle_alpha 89.98
_cell_angle_beta 81.64
_cell_angle_gamma 89.98
loop_
_atom_site_label
_atom_site_fract_x
_atom_site_fract_y
_atom_site_fract_z
Li1 0.000 0.000 0.000
Li2 0.000 0.014 0.500
V1 0.200 0.442 0.180
V2 0.200 0.573 0.680
V3 0.560 0.960 0.272
V4 0.561 0.054 0.772
O1 0.408 0.186 0.204
O2 0.409 0.829 0.705
F1 0.316 0.607 0.048
F2 0.318 0.408 0.548
F3 0.356 0.975 0.428
F4 0.357 0.039 0.928
F5 0.421 0.651 0.268
F6 0.422 0.364 0.768
F7 0.805 0.165 0.639
F8 0.805 0.849 0.139
F9 0.844 0.021 0.351
F10 0.844 0.992 0.851
F11 0.959 0.489 0.309
F12 0.959 0.525 0.809
F13 0.976 0.282 0.095
F14 0.977 0.732 0.595
```